# Nd12RuPb6
Simulated powder X-ray diffraction pattern, Cu Ka. Input: a DFT-relaxed cell (GGA-PBE, Alexandria).
Kinematic intensities with the Lorentz-polarization factor, no thermal factor.

Structural model:
abc: 8.6983 8.6983 8.6983
angles: 92.00 92.00 92.00
Element x y z (fractional)
Nd 0.0447 0.9206 0.6937
Nd 0.0794 0.3063 0.9553
Nd 0.2004 0.4199 0.5524
Nd 0.3063 0.9553 0.0794
Nd 0.4199 0.5524 0.2004
Nd 0.4476 0.7996 0.5801
Nd 0.5524 0.2004 0.4199
Nd 0.5801 0.4476 0.7996
Nd 0.6937 0.0447 0.9206
Nd 0.7996 0.5801 0.4476
Nd 0.9206 0.6937 0.0447
Nd 0.9553 0.0794 0.3063
Ru 0.0000 0.0000 0.0000
Pb 0.1356 0.7393 0.3632
Pb 0.2607 0.6368 0.8644
Pb 0.3632 0.1356 0.7393
Pb 0.6368 0.8644 0.2607
Pb 0.7393 0.3632 0.1356
Pb 0.8644 0.2607 0.6368

Principal peaks in the range 2θ = 10–80°, most intense first:
2θ (°), I (rel.)
34.12, 100
30.37, 88
25.87, 37
32.23, 32
14.68, 21
32.96, 21
28.53, 20
53.66, 19
23.22, 18
37.97, 18

***

# Ta2C
Simulated powder X-ray diffraction pattern, Cu Ka. Input: a DFT-relaxed cell (GGA-PBE, Alexandria).
Kinematic intensities with the Lorentz-polarization factor, no thermal factor.

Structural model:
abc: 4.9392 6.2755 5.4103
angles: 90.00 90.00 90.00
Element x y z (fractional)
Ta 0.2441 0.1213 0.0784
Ta 0.2441 0.8787 0.5784
Ta 0.2559 0.3787 0.5784
Ta 0.2559 0.6213 0.0784
Ta 0.7441 0.3787 0.9216
Ta 0.7441 0.6213 0.4216
Ta 0.7559 0.1213 0.4216
Ta 0.7559 0.8787 0.9216
C 0.0000 0.3793 0.2500
C 0.0000 0.6207 0.7500
C 0.5000 0.1207 0.7500
C 0.5000 0.8793 0.2500

Principal peaks in the range 2θ = 10–80°, most intense first:
2θ (°), I (rel.)
37.82, 100
37.92, 44
36.38, 34
66.43, 28
49.96, 24
71.40, 19
59.08, 19
33.00, 18
72.19, 14
33.12, 13